Starting from a cell relaxed with GGA+U, the powder XRD pattern of MgVTe4O12 was computed for λ = 1.5418 Å (Cu Kα).
Lines closer than 0.1° are merged.

Most intense lines, 5 to 70 degrees two-theta, by intensity:
2θ (°), intensity
21.4, 100
22.7, 96
22.4, 92
29.3, 68
29.1, 64
32.9, 48
30.1, 46
33.4, 32
34.0, 30
33.6, 24

Atomic structure:
a = 5.444 Å, b = 6.227 Å, c = 7.997 Å
α = 78.99°, β = 89.13°, γ = 87.12°
Positions (direct):
Mg 0.000 0.000 0.000
V 0.937 0.027 0.498
Te 0.008 0.426 0.156
Te 0.427 0.871 0.704
Te 0.541 0.849 0.207
Te 0.973 0.451 0.694
O 0.063 0.322 0.397
O 0.122 0.036 0.754
O 0.162 0.693 0.098
O 0.221 0.202 0.097
O 0.274 0.905 0.484
O 0.284 0.544 0.738
O 0.644 0.940 0.981
O 0.663 0.123 0.591
O 0.690 0.547 0.232
O 0.815 0.727 0.592
O 0.823 0.005 0.271
O 0.840 0.419 0.936



Starting from a cell relaxed with GGA+U, the powder XRD pattern of MgVTe4O12 was computed for λ = 1.5418 Å (Cu Kα).
Lines closer than 0.1° are merged.

Most intense lines, 5 to 70 degrees two-theta, by intensity:
2θ (°), intensity
22.8, 100
21.0, 82
23.4, 81
35.3, 57
27.6, 42
21.1, 41
32.0, 36
26.5, 35
33.8, 33
15.4, 32

Atomic structure:
a = 5.309 Å, b = 6.034 Å, c = 8.876 Å
α = 107.29°, β = 90.60°, γ = 92.09°
Positions (direct):
Mg 0.000 0.000 0.000
V 0.480 0.940 0.150
Te 0.021 0.363 0.744
Te 0.509 0.527 0.363
Te 0.543 0.961 0.802
Te 0.977 0.961 0.345
O 0.128 0.120 0.550
O 0.153 0.228 0.890
O 0.184 0.138 0.230
O 0.299 0.773 0.293
O 0.319 0.790 0.974
O 0.385 0.585 0.560
O 0.640 0.132 0.025
O 0.682 0.238 0.736
O 0.691 0.156 0.353
O 0.811 0.742 0.441
O 0.816 0.793 0.142
O 0.834 0.791 0.797